Record 1
This entry pairs a crystal structure of Dy2CuAg3 with its theoretical powder diffraction line list. Radiation: Cu Kα, 1.54184 Å. Structure: a structure optimized by DFT (PBE).
Intensities are scaled so that the largest is 100.

Principal peaks in the range 2θ from 10° to 80°, low angle first:
- 25.9 deg, d = 3.436 Å, intensity 8.8, (1 0 1)
- 34.1 deg, d = 2.626 Å, intensity 70.4, (1 1 0)
- 38.4 deg, d = 2.342 Å, intensity 100.0, (1 0 3)
- 49.1 deg, d = 1.857 Å, intensity 24.8, (2 0 0)
- 64.0 deg, d = 1.455 Å, intensity 42.9, (2 1 3)
- 72.2 deg, d = 1.308 Å, intensity 14.3, (1 1 6)

Atomic structure:
```
data_Dy2CuAg3
_chemical_formula_sum 'Dy2 Cu1 Ag3'
_space_group_name_H-M_alt 'P 4 m m'
_space_group_IT_number 99
_space_group_name_Hall 'P 4 -2'
_cell_length_a 3.7137
_cell_length_b 3.7137
_cell_length_c 9.0529
_cell_angle_alpha 90.00
_cell_angle_beta 90.00
_cell_angle_gamma 90.00
loop_
_atom_site_label
_atom_site_fract_x
_atom_site_fract_y
_atom_site_fract_z
Dy1 0.0000 0.0000 0.0000
Dy2 0.5000 0.5000 0.4843
Cu1 0.5000 0.5000 0.1563
Ag1 0.0000 0.0000 0.3163
Ag2 0.0000 0.0000 0.6615
Ag3 0.5000 0.5000 0.8247
```

Record 2
This entry pairs a crystal structure of Cs3AsF6 with its theoretical powder diffraction line list. Radiation: Cu Kα, 1.54184 Å. Structure: a structure optimized by DFT (PBE).
Intensities are scaled so that the largest is 100.

Principal peaks in the range 2θ from 10° to 80°, low angle first:
- 25.6 deg, d = 3.475 Å, intensity 100.0, (2 2 0)
- 36.6 deg, d = 2.457 Å, intensity 33.2, (4 0 0)
- 45.2 deg, d = 2.006 Å, intensity 39.8, (4 2 2)
- 52.7 deg, d = 1.738 Å, intensity 20.9, (4 4 0)
- 59.5 deg, d = 1.554 Å, intensity 21.5, (6 2 0)
- 71.9 deg, d = 1.314 Å, intensity 23.3, (6 4 2)

Atomic structure:
```
data_Cs3AsF6
_chemical_formula_sum 'Cs12 As4 F24'
_space_group_name_H-M_alt 'F m -3 m'
_space_group_IT_number 225
_space_group_name_Hall '-F 4 2 3'
_cell_length_a 9.8296
_cell_length_b 9.8296
_cell_length_c 9.8296
_cell_angle_alpha 90.00
_cell_angle_beta 90.00
_cell_angle_gamma 90.00
loop_
_atom_site_label
_atom_site_fract_x
_atom_site_fract_y
_atom_site_fract_z
Cs1 0.0000 0.0000 0.0000
Cs2 0.2500 0.2500 0.2500
As1 0.0000 0.0000 0.5000
F1 0.0000 0.0000 0.2882
```

Record 3
This entry pairs a crystal structure of Rb2Ti6O13 with its theoretical powder diffraction line list. Radiation: Cu Kα, 1.54184 Å. Structure: a structure optimized by DFT (PBE).
Intensities are scaled so that the largest is 100.

Principal peaks in the range 2θ from 10° to 80°, low angle first:
- 28.7 deg, d = 3.109 Å, intensity 100.0, (3 1 0)
- 29.3 deg, d = 3.046 Å, intensity 95.8, (3 1 -1)
- 29.6 deg, d = 3.022 Å, intensity 70.9, (2 0 -3)
- 31.7 deg, d = 2.823 Å, intensity 53.9, (1 1 2)
- 32.7 deg, d = 2.741 Å, intensity 49.1, (4 0 2)
- 47.3 deg, d = 1.922 Å, intensity 59.6, (0 2 0)

Atomic structure:
```
data_Rb2Ti6O13
_chemical_formula_sum 'Rb4 Ti12 O26'
_space_group_name_H-M_alt 'C 1 2/m 1'
_space_group_IT_number 12
_space_group_name_Hall '-C 2y'
_cell_length_a 16.1525
_cell_length_b 3.8434
_cell_length_c 9.2388
_cell_angle_alpha 90.00
_cell_angle_beta 100.87
_cell_angle_gamma 90.00
loop_
_atom_site_label
_atom_site_fract_x
_atom_site_fract_y
_atom_site_fract_z
Rb1 0.0439 0.0000 0.2468
Ti1 0.1149 0.5000 0.5935
Ti2 0.1746 0.5000 0.9364
Ti3 0.2331 0.5000 0.2789
O1 0.0000 0.5000 0.5000
O2 0.0831 0.5000 0.7873
O3 0.1388 0.5000 0.1126
O4 0.1422 0.0000 0.6080
O5 0.1679 0.5000 0.4135
O6 0.2037 0.0000 0.9276
O7 0.2390 0.5000 0.7372
```

Record 4
This entry pairs a crystal structure of MnReB2 with its theoretical powder diffraction line list. Radiation: Cu Kα, 1.54184 Å. Structure: a structure optimized by DFT (PBE).
Intensities are scaled so that the largest is 100.

Principal peaks in the range 2θ from 10° to 80°, low angle first:
- 25.9 deg, d = 3.446 Å, intensity 62.7, (0 1 1)
- 31.3 deg, d = 2.856 Å, intensity 50.7, (0 0 2)
- 36.2 deg, d = 2.479 Å, intensity 54.1, (1 1 0)
- 39.6 deg, d = 2.274 Å, intensity 100.0, (1 1 1)
- 43.6 deg, d = 2.077 Å, intensity 60.8, (1 0 2)
- 44.9 deg, d = 2.020 Å, intensity 66.4, (0 2 1)

Atomic structure:
```
data_MnReB2
_chemical_formula_sum 'Mn2 Re2 B4'
_space_group_name_H-M_alt 'P m c 21'
_space_group_IT_number 26
_space_group_name_Hall 'P 2c -2'
_cell_length_a 3.0268
_cell_length_b 4.3204
_cell_length_c 5.7111
_cell_angle_alpha 90.00
_cell_angle_beta 90.00
_cell_angle_gamma 90.00
loop_
_atom_site_label
_atom_site_fract_x
_atom_site_fract_y
_atom_site_fract_z
Mn1 0.0000 0.1316 0.0000
Re1 0.5000 0.3666 0.6389
B1 0.0000 0.3398 0.3469
B2 0.5000 0.1234 0.2799
```

Record 5
This entry pairs a crystal structure of N with its theoretical powder diffraction line list. Radiation: Cu Kα, 1.54184 Å. Structure: a structure optimized by DFT (PBE).
Intensities are scaled so that the largest is 100.

Principal peaks in the range 2θ from 10° to 80°, low angle first:
- 25.8 deg, d = 3.448 Å, intensity 51.2, (2 0 2)
- 28.1 deg, d = 3.171 Å, intensity 76.8, (1 1 3)
- 29.7 deg, d = 3.004 Å, intensity 100.0, (2 1 1)
- 29.9 deg, d = 2.989 Å, intensity 33.0, (1 0 4)
- 32.1 deg, d = 2.784 Å, intensity 90.0, (1 2 2)
- 32.9 deg, d = 2.725 Å, intensity 18.3, (3 0 0)

Atomic structure:
```
data_N
_chemical_formula_sum 'N48'
_space_group_name_H-M_alt 'R -3 c'
_space_group_IT_number 167
_space_group_name_Hall '-R 3 2"c'
_cell_length_a 9.4397
_cell_length_b 9.4397
_cell_length_c 12.8447
_cell_angle_alpha 90.00
_cell_angle_beta 90.00
_cell_angle_gamma 120.00
loop_
_atom_site_label
_atom_site_fract_x
_atom_site_fract_y
_atom_site_fract_z
N1 0.0000 0.0000 0.0433
N2 0.0529 0.2684 0.2226
```

Record 6
This entry pairs a crystal structure of LiReO2F4 with its theoretical powder diffraction line list. Radiation: Cu Kα, 1.54184 Å. Structure: a structure optimized by DFT (PBE).
Intensities are scaled so that the largest is 100.

Principal peaks in the range 2θ from 10° to 80°, low angle first:
- 19.6 deg, d = 4.531 Å, intensity 29.1, (0 0 2)
- 20.8 deg, d = 4.269 Å, intensity 100.0, (1 0 1)
- 26.0 deg, d = 3.422 Å, intensity 32.6, (1 1 0)
- 32.8 deg, d = 2.731 Å, intensity 26.0, (1 1 2)
- 43.0 deg, d = 2.105 Å, intensity 26.0, (2 1 1)
- 52.0 deg, d = 1.759 Å, intensity 18.0, (2 1 3)

Atomic structure:
```
data_LiReO2F4
_chemical_formula_sum 'Li2 Re2 O4 F8'
_space_group_name_H-M_alt 'P -4 21 m'
_space_group_IT_number 113
_space_group_name_Hall 'P -4 2ab'
_cell_length_a 4.8391
_cell_length_b 4.8391
_cell_length_c 9.0625
_cell_angle_alpha 90.00
_cell_angle_beta 90.00
_cell_angle_gamma 90.00
loop_
_atom_site_label
_atom_site_fract_x
_atom_site_fract_y
_atom_site_fract_z
Li1 0.0000 0.5000 0.0818
Re1 0.0000 0.5000 0.7255
O1 0.1947 0.6947 0.6071
F1 0.1846 0.6846 0.9043
F2 0.2255 0.7255 0.2395
```

Record 7
This entry pairs a crystal structure of BaNaPrSbO6 with its theoretical powder diffraction line list. Radiation: Cu Kα, 1.54184 Å. Structure: a structure optimized by DFT (PBE).
Intensities are scaled so that the largest is 100.

Principal peaks in the range 2θ from 10° to 80°, low angle first:
- 17.7 deg, d = 5.011 Å, intensity 17.0, (1 1 1)
- 29.1 deg, d = 3.069 Å, intensity 100.0, (2 2 0)
- 41.6 deg, d = 2.170 Å, intensity 32.8, (4 0 0)
- 51.6 deg, d = 1.772 Å, intensity 40.4, (4 2 2)
- 60.3 deg, d = 1.534 Å, intensity 20.2, (4 4 0)
- 68.4 deg, d = 1.372 Å, intensity 18.3, (6 2 0)

Atomic structure:
```
data_BaNaPrSbO6
_chemical_formula_sum 'Ba4 Na4 Pr4 Sb4 O24'
_space_group_name_H-M_alt 'F -4 3 m'
_space_group_IT_number 216
_space_group_name_Hall 'F -4 2 3'
_cell_length_a 8.6798
_cell_length_b 8.6798
_cell_length_c 8.6798
_cell_angle_alpha 90.00
_cell_angle_beta 90.00
_cell_angle_gamma 90.00
loop_
_atom_site_label
_atom_site_fract_x
_atom_site_fract_y
_atom_site_fract_z
Ba1 0.0000 0.0000 0.0000
Na1 0.0000 0.0000 0.5000
Pr1 0.2500 0.2500 0.2500
Sb1 0.2500 0.2500 0.7500
O1 0.0195 0.2500 0.7500
```

Record 8
This entry pairs a crystal structure of TiCrCuSe4 with its theoretical powder diffraction line list. Radiation: Cu Kα, 1.54184 Å. Structure: a structure optimized by DFT (PBE).
Intensities are scaled so that the largest is 100.

Principal peaks in the range 2θ from 10° to 80°, low angle first:
- 29.2 deg, d = 3.057 Å, intensity 38.6, (0 2 2)
- 29.7 deg, d = 3.004 Å, intensity 36.4, (2 0 2)
- 34.2 deg, d = 2.624 Å, intensity 100.0, (0 0 4)
- 48.4 deg, d = 1.882 Å, intensity 23.6, (0 4 0)
- 49.1 deg, d = 1.855 Å, intensity 88.6, (2 2 4)
- 49.8 deg, d = 1.833 Å, intensity 20.9, (4 0 0)

Atomic structure:
```
data_TiCrCuSe4
_chemical_formula_sum 'Ti4 Cr4 Cu4 Se16'
_space_group_name_H-M_alt 'I m m a'
_space_group_IT_number 74
_space_group_name_Hall '-I 2b 2'
_cell_length_a 7.3305
_cell_length_b 7.5272
_cell_length_c 10.4846
_cell_angle_alpha 90.00
_cell_angle_beta 90.00
_cell_angle_gamma 90.00
loop_
_atom_site_label
_atom_site_fract_x
_atom_site_fract_y
_atom_site_fract_z
Ti1 0.2500 0.2500 0.2500
Cr1 0.0000 0.0000 0.0000
Cu1 0.0000 0.2500 0.6254
Se1 0.0000 0.0098 0.2432
Se2 0.2340 0.2500 0.0059
```

Record 9
This entry pairs a crystal structure of Mg2PdAu with its theoretical powder diffraction line list. Radiation: Cu Kα, 1.54184 Å. Structure: a structure optimized by DFT (PBE).
Intensities are scaled so that the largest is 100.

Principal peaks in the range 2θ from 10° to 80°, low angle first:
- 27.5 deg, d = 3.246 Å, intensity 64.6, (2 0 0)
- 39.3 deg, d = 2.295 Å, intensity 100.0, (2 2 0)
- 48.6 deg, d = 1.874 Å, intensity 18.6, (2 2 2)
- 56.7 deg, d = 1.623 Å, intensity 17.0, (4 0 0)
- 64.2 deg, d = 1.452 Å, intensity 24.4, (4 2 0)
- 71.2 deg, d = 1.325 Å, intensity 34.4, (4 2 2)

Atomic structure:
```
data_Mg2PdAu
_chemical_formula_sum 'Mg8 Pd4 Au4'
_space_group_name_H-M_alt 'F m -3 m'
_space_group_IT_number 225
_space_group_name_Hall '-F 4 2 3'
_cell_length_a 6.4914
_cell_length_b 6.4914
_cell_length_c 6.4914
_cell_angle_alpha 90.00
_cell_angle_beta 90.00
_cell_angle_gamma 90.00
loop_
_atom_site_label
_atom_site_fract_x
_atom_site_fract_y
_atom_site_fract_z
Mg1 0.2500 0.2500 0.2500
Pd1 0.0000 0.0000 0.0000
Au1 0.0000 0.0000 0.5000
```

Record 10
This entry pairs a crystal structure of GeMoAs with its theoretical powder diffraction line list. Radiation: Cu Kα, 1.54184 Å. Structure: a structure optimized by DFT (PBE).
Intensities are scaled so that the largest is 100.

Principal peaks in the range 2θ from 10° to 80°, low angle first:
- 34.4 deg, d = 2.604 Å, intensity 100.0, (1 1 1)
- 40.0 deg, d = 2.253 Å, intensity 33.7, (3 1 -1)
- 43.3 deg, d = 2.088 Å, intensity 35.0, (3 1 0)
- 43.6 deg, d = 2.076 Å, intensity 33.7, (1 1 2)
- 44.8 deg, d = 2.023 Å, intensity 35.0, (4 0 0)
- 46.8 deg, d = 1.942 Å, intensity 34.4, (3 1 -3)

Atomic structure:
```
data_GeMoAs
_chemical_formula_sum 'Ge4 Mo4 As4'
_space_group_name_H-M_alt 'C 1 2/m 1'
_space_group_IT_number 12
_space_group_name_Hall '-C 2y'
_cell_length_a 9.3082
_cell_length_b 3.2981
_cell_length_c 7.7309
_cell_angle_alpha 90.00
_cell_angle_beta 119.62
_cell_angle_gamma 90.00
loop_
_atom_site_label
_atom_site_fract_x
_atom_site_fract_y
_atom_site_fract_z
Ge1 0.1039 0.0000 0.3968
Mo1 0.1545 0.5000 0.7013
As1 0.1455 0.5000 0.0363
```

Record 11
This entry pairs a crystal structure of Pr2Ge7 with its theoretical powder diffraction line list. Radiation: Cu Kα, 1.54184 Å. Structure: a structure optimized by DFT (PBE).
Intensities are scaled so that the largest is 100.

Principal peaks in the range 2θ from 10° to 80°, low angle first:
- 31.1 deg, d = 2.874 Å, intensity 21.9, (1 0 6)
- 32.3 deg, d = 2.774 Å, intensity 100.0, (1 1 3)
- 40.8 deg, d = 2.212 Å, intensity 18.3, (1 1 7)
- 41.4 deg, d = 2.182 Å, intensity 16.8, (0 1 9)
- 42.0 deg, d = 2.151 Å, intensity 24.7, (2 0 0)
- 44.0 deg, d = 2.056 Å, intensity 21.6, (0 2 0)

Atomic structure:
```
data_Pr2Ge7
_chemical_formula_sum 'Pr4 Ge14'
_space_group_name_H-M_alt 'A m m 2'
_space_group_IT_number 38
_space_group_name_Hall 'A 2 -2'
_cell_length_a 4.3023
_cell_length_b 4.1119
_cell_length_c 23.1733
_cell_angle_alpha 90.00
_cell_angle_beta 90.00
_cell_angle_gamma 90.00
loop_
_atom_site_label
_atom_site_fract_x
_atom_site_fract_y
_atom_site_fract_z
Pr1 0.0000 0.0000 0.0000
Pr2 0.0000 0.0000 0.3345
Ge1 0.0000 0.0000 0.6216
Ge2 0.0000 0.0000 0.7324
Ge3 0.5000 0.0000 0.1254
Ge4 0.5000 0.0000 0.2359
Ge5 0.5000 0.0000 0.4404
Ge6 0.5000 0.0000 0.5528
Ge7 0.5000 0.0000 0.8732
```

Copy entry 6 word for word.
This entry pairs a crystal structure of LiReO2F4 with its theoretical powder diffraction line list. Radiation: Cu Kα, 1.54184 Å. Structure: a structure optimized by DFT (PBE).
Intensities are scaled so that the largest is 100.

Principal peaks in the range 2θ from 10° to 80°, low angle first:
- 19.6 deg, d = 4.531 Å, intensity 29.1, (0 0 2)
- 20.8 deg, d = 4.269 Å, intensity 100.0, (1 0 1)
- 26.0 deg, d = 3.422 Å, intensity 32.6, (1 1 0)
- 32.8 deg, d = 2.731 Å, intensity 26.0, (1 1 2)
- 43.0 deg, d = 2.105 Å, intensity 26.0, (2 1 1)
- 52.0 deg, d = 1.759 Å, intensity 18.0, (2 1 3)

Atomic structure:
```
data_LiReO2F4
_chemical_formula_sum 'Li2 Re2 O4 F8'
_space_group_name_H-M_alt 'P -4 21 m'
_space_group_IT_number 113
_space_group_name_Hall 'P -4 2ab'
_cell_length_a 4.8391
_cell_length_b 4.8391
_cell_length_c 9.0625
_cell_angle_alpha 90.00
_cell_angle_beta 90.00
_cell_angle_gamma 90.00
loop_
_atom_site_label
_atom_site_fract_x
_atom_site_fract_y
_atom_site_fract_z
Li1 0.0000 0.5000 0.0818
Re1 0.0000 0.5000 0.7255
O1 0.1947 0.6947 0.6071
F1 0.1846 0.6846 0.9043
F2 0.2255 0.7255 0.2395
```